No. 1
For K5Cd2Hg2, a cell relaxed with PBE gives the theoretical PXRD pattern in this record (Cu Kα).
Intensities are scaled so that the largest is 100.

Principal peaks in the range 2θ = 5–70°, low angle first:
(0 1 0), 9.3°, I = 57; (-1 1 1), 17.0°, I = 85; (0 2 0), 18.6°, I = 73; (-1 1 2), 23.3°, I = 83; (0 3 0), 28.0°, I = 62; (1 3 -3), 28.7°, I = 81; (2 1 0), 28.8°, I = 83; (1 -2 3), 30.7°, I = 100; (3 -1 0), 38.3°, I = 61; (1 -1 4), 39.9°, I = 67

Structural model:
```
data_K5Cd2Hg2
_chemical_formula_sum 'K10 Cd4 Hg4'
_cell_length_a 7.4424
_cell_length_b 10.9661
_cell_length_c 11.7438
_cell_angle_alpha 117.82
_cell_angle_beta 108.27
_cell_angle_gamma 90.06
_symmetry_space_group_name_H-M 'P 1'
_symmetry_Int_Tables_number 1
_symmetry_space_group_name_Hall 'P 1'
loop_
_atom_site_label
_atom_site_fract_x
_atom_site_fract_y
_atom_site_fract_z
K1 0.0000 0.0000 0.0000
K2 0.0006 0.9224 0.3567
K3 0.1145 0.6340 0.5711
K4 0.3574 0.3565 0.7138
K5 0.4006 0.6436 0.1437
K6 0.4981 0.3549 0.3568
K7 0.5003 0.9208 0.0002
K8 0.6149 0.8573 0.5711
K9 0.8577 0.2779 0.7140
K10 0.9000 0.4205 0.1437
Cd1 0.1637 0.0087 0.7176
Cd2 0.3017 0.2689 0.9961
Cd3 0.6639 0.6290 0.7177
Cd4 0.8013 0.6476 0.9961
Hg1 0.0850 0.6394 0.8580
Hg2 0.4854 0.0305 0.3577
Hg3 0.5847 0.1390 0.8575
Hg4 0.9801 0.2473 0.3574
```

No. 2
For K4CdHg3, a cell relaxed with PBE gives the theoretical PXRD pattern in this record (Cu Kα).
Intensities are scaled so that the largest is 100.

Principal peaks in the range 2θ = 5–70°, low angle first:
(0 0 2), 13.9°, I = 71; (1 0 1), 19.5°, I = 100; (0 1 2), 22.1°, I = 30; (1 1 1), 26.0°, I = 58; (1 1 3), 32.8°, I = 96; (0 1 4), 33.0°, I = 58; (0 2 0), 34.5°, I = 31; (2 0 0), 36.8°, I = 26; (1 2 1), 39.9°, I = 39; (2 1 4), 50.2°, I = 35

Structural model:
```
data_K4CdHg3
_chemical_formula_sum 'K4 Cd1 Hg3'
_cell_length_a 4.8859
_cell_length_b 5.1938
_cell_length_c 12.7539
_cell_angle_alpha 90.00
_cell_angle_beta 90.00
_cell_angle_gamma 90.00
_symmetry_space_group_name_H-M 'P m m 2'
_symmetry_Int_Tables_number 25
_symmetry_space_group_name_Hall 'P 2 -2'
loop_
_atom_site_label
_atom_site_fract_x
_atom_site_fract_y
_atom_site_fract_z
K1 0.0000 0.0000 0.0000
K2 0.0000 0.5000 0.2911
K3 0.5000 0.0000 0.4948
K4 0.5000 0.5000 0.7919
Cd1 0.0000 0.0000 0.7040
Hg1 0.0000 0.5000 0.5827
Hg2 0.5000 0.0000 0.2102
Hg3 0.5000 0.5000 0.0789
```

No. 3
For KCdHg6, a cell relaxed with PBE gives the theoretical PXRD pattern in this record (Cu Kα).
Intensities are scaled so that the largest is 100.

Principal peaks in the range 2θ = 5–70°, low angle first:
(0 0 9), 29.7°, I = 10; (1 0 7), 29.9°, I = 13; (0 1 8), 32.6°, I = 71; (1 1 0), 33.1°, I = 100; (1 1 9), 45.1°, I = 20; (2 0 8), 47.2°, I = 26; (1 2 8), 58.8°, I = 27; (3 0 0), 59.1°, I = 19; (1 1 15), 61.8°, I = 13; (2 2 0), 69.5°, I = 12

Structural model:
```
data_KCdHg6
_chemical_formula_sum 'K3 Cd3 Hg18'
_cell_length_a 5.4117
_cell_length_b 5.4117
_cell_length_c 27.0928
_cell_angle_alpha 90.00
_cell_angle_beta 90.00
_cell_angle_gamma 120.00
_symmetry_space_group_name_H-M 'R -3 m'
_symmetry_Int_Tables_number 166
_symmetry_space_group_name_Hall '-R 3 2"'
loop_
_atom_site_label
_atom_site_fract_x
_atom_site_fract_y
_atom_site_fract_z
K1 0.0000 0.0000 0.0000
Cd1 0.0000 0.0000 0.5000
Hg1 0.0000 0.0000 0.1380
Hg2 0.0000 0.0000 0.2594
Hg3 0.0000 0.0000 0.3899
```